# 1
Tl3Bi4Se8: theoretical XRD peak list (Cu Kα (weighted mean of Kα1 and Kα2)), based on a crystal structure in Alexandria, relaxed with GGA-PBE.
Peak positions follow from Bragg's law for the DFT cell and can differ from measured ones.

Lattice parameters (Å, degrees): 12.180 12.141 8.557 90.00 134.20 90.00
Space group C2/m (No. 12)
Inequivalent atoms, fractional coordinates:
Tl (0.000, 0.000, 0.000)
Tl (0.250, 0.250, 0.000)
Bi (0.000, 0.500, 0.000)
Bi (0.000, 0.500, 0.500)
Bi (0.250, 0.250, 0.500)
Se (0.000, 0.254, 0.500)
Se (0.000, 0.257, 0.000)
Se (0.235, 0.500, 0.985)
Se (0.238, 0.500, 0.483)

Peak list (8 most intense, 2θ from 10° to 90°, sorted by position)
25.12°, I = 21
25.47°, I = 20
29.11°, I = 51
29.38°, I = 100
41.87°, I = 38
42.04°, I = 38
51.57°, I = 21
52.32°, I = 20

# 2
SbRu2Pt2: theoretical XRD peak list (Cu Kα (weighted mean of Kα1 and Kα2)), based on a crystal structure in Alexandria, relaxed with GGA-PBE.
Peak positions follow from Bragg's law for the DFT cell and can differ from measured ones.

Lattice parameters (Å, degrees): 3.699 3.699 12.836 90.00 90.00 90.00
Space group I4/mmm (No. 139)
Inequivalent atoms, fractional coordinates:
Sb (0.000, 0.000, 0.000)
Ru (0.000, 0.000, 0.402)
Pt (0.000, 0.500, 0.250)

Peak list (8 most intense, 2θ from 10° to 90°, sorted by position)
13.80°, I = 30
27.80°, I = 19
37.12°, I = 100
42.88°, I = 22
44.70°, I = 33
49.27°, I = 34
57.48°, I = 17
84.13°, I = 19

# 3
Zr2Mn7: theoretical XRD peak list (Cu Kα (weighted mean of Kα1 and Kα2)), based on a crystal structure in Alexandria, relaxed with GGA-PBE.
Peak positions follow from Bragg's law for the DFT cell and can differ from measured ones.

Lattice parameters (Å, degrees): 4.9384 4.9384 35.3528 90.00 90.00 120.00
Space group R-3m (No. 166, hexagonal axes)
Inequivalent atoms, fractional coordinates:
Zr (0.0000, 0.0000, 0.0520)
Zr (0.0000, 0.0000, 0.1500)
Mn (0.0000, 0.0000, 0.2785)
Mn (0.0000, 0.0000, 0.3889)
Mn (0.0000, 0.0000, 0.5000)
Mn (0.0000, 0.5000, 0.0000)
Mn (0.0044, 0.5022, 0.8891)

Peak list (8 most intense, 2θ from 10° to 90°, sorted by position)
32.87°, I = 24
34.92°, I = 19
36.39°, I = 36
42.34°, I = 30
43.28°, I = 100
46.22°, I = 22
70.24°, I = 21
77.28°, I = 19

# 4
Ti2MnHW: theoretical XRD peak list (Cu Kα (weighted mean of Kα1 and Kα2)), based on a crystal structure in Alexandria, relaxed with GGA-PBE.
Peak positions follow from Bragg's law for the DFT cell and can differ from measured ones.

Lattice parameters (Å, degrees): 4.327 4.327 3.279 90.00 90.00 90.00
Space group P4/mmm (No. 123)
Inequivalent atoms, fractional coordinates:
Ti (0.000, 0.500, 0.000)
Mn (0.000, 0.000, 0.500)
H (0.000, 0.000, 0.000)
W (0.500, 0.500, 0.500)

Peak list (8 most intense, 2θ from 10° to 90°, sorted by position)
20.53°, I = 38
29.19°, I = 22
34.31°, I = 23
40.32°, I = 100
41.75°, I = 46
60.52°, I = 15
72.31°, I = 17
75.25°, I = 30

# 5
SrHoInBr6: theoretical XRD peak list (Cu Kα (weighted mean of Kα1 and Kα2)), based on a crystal structure in Alexandria, relaxed with GGA-PBE.
Peak positions follow from Bragg's law for the DFT cell and can differ from measured ones.

Lattice parameters (Å, degrees): 7.6633 7.6633 14.0555 90.00 90.00 120.00
Space group P-31c (No. 163)
Inequivalent atoms, fractional coordinates:
Sr (0.3333, 0.6667, 0.2500)
Ho (0.3333, 0.6667, 0.7500)
In (0.0000, 0.0000, 0.0000)
Br (0.0262, 0.3772, 0.6344)

Peak list (8 most intense, 2θ from 10° to 90°, sorted by position)
18.39°, I = 83
26.50°, I = 97
34.64°, I = 100
38.09°, I = 32
40.80°, I = 68
45.38°, I = 24
54.56°, I = 24
68.16°, I = 23

# 6
Nd4Ho10Er: theoretical XRD peak list (Cu Kα (weighted mean of Kα1 and Kα2)), based on a crystal structure in Alexandria, relaxed with GGA-PBE.
Peak positions follow from Bragg's law for the DFT cell and can differ from measured ones.

Lattice parameters (Å, degrees): 11.264 11.264 7.932 90.00 90.00 90.00
Space group I4/mmm (No. 139)
Inequivalent atoms, fractional coordinates:
Nd (0.228, 0.228, 0.000)
Ho (0.000, 0.208, 0.293)
Ho (0.000, 0.500, 0.250)
Er (0.000, 0.000, 0.000)

Peak list (8 most intense, 2θ from 10° to 90°, sorted by position)
27.51°, I = 25
30.76°, I = 26
31.81°, I = 100
33.80°, I = 34
34.85°, I = 15
40.89°, I = 32
53.43°, I = 14
67.60°, I = 16

# 7
NbB2H6: theoretical XRD peak list (Cu Kα (weighted mean of Kα1 and Kα2)), based on a crystal structure in Alexandria, relaxed with GGA-PBE.
Peak positions follow from Bragg's law for the DFT cell and can differ from measured ones.

Lattice parameters (Å, degrees): 6.066 6.066 6.066 90.00 90.00 90.00
Space group Fm-3m (No. 225)
Inequivalent atoms, fractional coordinates:
Nb (0.000, 0.000, 0.000)
B (0.250, 0.250, 0.250)
H (0.000, 0.000, 0.301)

Peak list (8 most intense, 2θ from 10° to 90°, sorted by position)
25.43°, I = 100
29.45°, I = 41
42.14°, I = 53
49.86°, I = 50
67.28°, I = 20
69.27°, I = 13
77.02°, I = 17
82.66°, I = 14

# 8
Cs2KIn2F6: theoretical XRD peak list (Cu Kα (weighted mean of Kα1 and Kα2)), based on a crystal structure in Alexandria, relaxed with GGA-PBE.
Peak positions follow from Bragg's law for the DFT cell and can differ from measured ones.

Lattice parameters (Å, degrees): 11.161 6.989 8.172 90.00 118.17 90.00
Space group C2/m (No. 12)
Inequivalent atoms, fractional coordinates:
Cs (0.207, 0.000, 0.147)
K (0.000, 0.000, 0.500)
In (0.074, 0.500, 0.207)
F (0.045, 0.268, 0.770)
F (0.242, 0.500, 0.477)

Peak list (8 most intense, 2θ from 10° to 90°, sorted by position)
12.29°, I = 24
25.39°, I = 72
25.49°, I = 52
26.32°, I = 22
27.16°, I = 100
36.97°, I = 30
37.43°, I = 25
45.96°, I = 25

# 9
CeThZnCo2: theoretical XRD peak list (Cu Kα (weighted mean of Kα1 and Kα2)), based on a crystal structure in Alexandria, relaxed with GGA-PBE.
Peak positions follow from Bragg's law for the DFT cell and can differ from measured ones.

Lattice parameters (Å, degrees): 13.618 3.828 8.409 90.00 98.59 90.00
Space group C2/m (No. 12)
Inequivalent atoms, fractional coordinates:
Ce (0.035, 0.000, 0.230)
Th (0.199, 0.500, 0.664)
Zn (0.184, 0.500, 0.050)
Co (0.119, 0.000, 0.871)
Co (0.153, 0.500, 0.330)

Peak list (8 most intense, 2θ from 10° to 90°, sorted by position)
13.15°, I = 34
21.37°, I = 41
26.06°, I = 37
30.70°, I = 100
31.58°, I = 36
31.80°, I = 64
33.08°, I = 40
47.46°, I = 59

# 10
ErThTc: theoretical XRD peak list (Cu Kα (weighted mean of Kα1 and Kα2)), based on a crystal structure in Alexandria, relaxed with GGA-PBE.
Peak positions follow from Bragg's law for the DFT cell and can differ from measured ones.

Lattice parameters (Å, degrees): 6.865 6.865 6.865 90.00 90.00 90.00
Space group F-43m (No. 216)
Inequivalent atoms, fractional coordinates:
Er (0.000, 0.000, 0.000)
Th (0.000, 0.000, 0.500)
Tc (0.250, 0.250, 0.250)

Peak list (8 most intense, 2θ from 10° to 90°, sorted by position)
22.43°, I = 14
25.96°, I = 43
37.04°, I = 100
45.78°, I = 13
53.38°, I = 18
60.29°, I = 18
66.75°, I = 36
78.87°, I = 11

# 11
AcMn2Se4: theoretical XRD peak list (Cu Kα (weighted mean of Kα1 and Kα2)), based on a crystal structure in Alexandria, relaxed with GGA-PBE.
Peak positions follow from Bragg's law for the DFT cell and can differ from measured ones.

Lattice parameters (Å, degrees): 12.587 14.517 8.180 90.00 90.00 90.00
Space group Fdd2 (No. 43)
Inequivalent atoms, fractional coordinates:
Ac (0.000, 0.000, 0.000)
Mn (0.105, 0.409, 0.904)
Se (0.051, 0.370, 0.195)
Se (0.098, 0.086, 0.355)

Peak list (8 most intense, 2θ from 10° to 90°, sorted by position)
18.66°, I = 95
22.49°, I = 56
24.99°, I = 51
30.24°, I = 70
33.52°, I = 52
34.21°, I = 86
36.03°, I = 62
37.89°, I = 100

# 12
Er4Zn2Ru: theoretical XRD peak list (Cu Kα (weighted mean of Kα1 and Kα2)), based on a crystal structure in Alexandria, relaxed with GGA-PBE.
Peak positions follow from Bragg's law for the DFT cell and can differ from measured ones.

Lattice parameters (Å, degrees): 4.882 4.882 6.922 90.00 90.00 90.00
Space group P4/mmm (No. 123)
Inequivalent atoms, fractional coordinates:
Er (0.000, 0.500, 0.245)
Zn (0.000, 0.000, 0.000)
Zn (0.500, 0.500, 0.500)
Ru (0.500, 0.500, 0.000)

Peak list (8 most intense, 2θ from 10° to 90°, sorted by position)
25.79°, I = 26
36.79°, I = 100
45.47°, I = 8
53.06°, I = 12
59.90°, I = 7
66.27°, I = 35
78.23°, I = 7
89.85°, I = 11

# 13
Ag9O2F14: theoretical XRD peak list (Cu Kα (weighted mean of Kα1 and Kα2)), based on a crystal structure in Alexandria, relaxed with GGA-PBE.
Peak positions follow from Bragg's law for the DFT cell and can differ from measured ones.

Lattice parameters (Å, degrees): 6.4708 6.4708 10.0890 90.00 90.00 120.00
Space group P-3 (No. 147)
Inequivalent atoms, fractional coordinates:
Ag (0.0000, 0.0000, 0.0000)
Ag (0.0259, 0.3530, 0.3327)
Ag (0.3333, 0.6667, 0.0311)
O (0.3333, 0.6667, 0.2688)
F (0.0000, 0.0000, 0.2675)
F (0.0338, 0.6810, 0.9106)
F (0.0793, 0.3903, 0.5965)

Peak list (8 most intense, 2θ from 10° to 90°, sorted by position)
26.50°, I = 45
28.98°, I = 100
32.89°, I = 36
45.60°, I = 41
48.75°, I = 33
53.52°, I = 13
56.34°, I = 27
57.72°, I = 13